(1)
The following is a theoretical PXRD pattern of Er2Tm4ThSc. It was derived from a crystal structure in Alexandria, relaxed with PBE, using λ = 1.5418 Å (Cu Kα).
Lines closer than 0.1° are merged.

```
data_Er2Tm4ThSc
_chemical_formula_sum 'Er2 Tm4 Th1 Sc1'
_space_group_name_H-M_alt 'P m m m'
_space_group_IT_number 47
_cell_length_a 4.910
_cell_length_b 4.930
_cell_length_c 9.845
_cell_angle_alpha 90.00
_cell_angle_beta 90.00
_cell_angle_gamma 90.00
loop_
_space_group_symop_operation_xyz
'x,y,z'
'-x,-y,-z'
'-x,-y,z'
'x,y,-z'
'x,-y,-z'
'-x,y,z'
'-x,y,-z'
'x,-y,z'
loop_
_atom_site_label
_atom_site_type_symbol
_atom_site_fract_x
_atom_site_fract_y
_atom_site_fract_z
_atom_site_occupancy
Er1 Er 0.000 0.000 0.000 1
Er2 Er 0.500 0.500 0.500 1
Tm1 Tm 0.000 0.500 0.247 1
Tm2 Tm 0.500 0.000 0.246 1
Th1 Th 0.000 0.000 0.500 1
Sc1 Sc 0.500 0.500 0.000 1
```

Peak list (6 most intense, 2θ = 10–90°, low angle first)
- 31.49°, I = 100, (1 1 2)
- 36.48°, I = 34, (0 2 0)
- 36.60°, I = 17, (2 0 0)
- 52.58°, I = 24, (2 2 0)
- 62.55°, I = 28, (1 3 2)
- 62.72°, I = 14, (3 1 2)

---

(2)
The following is a theoretical PXRD pattern of ThBO4. It was derived from a crystal structure in Alexandria, relaxed with PBE, using λ = 1.5418 Å (Cu Kα).
Lines closer than 0.1° are merged.

```
data_ThBO4
_chemical_formula_sum 'Th2 B2 O8'
_space_group_name_H-M_alt 'I -4 2 m'
_space_group_IT_number 121
_space_group_name_Hall 'I -4 2'
_cell_length_a 4.900
_cell_length_b 4.900
_cell_length_c 6.017
_cell_angle_alpha 90.00
_cell_angle_beta 90.00
_cell_angle_gamma 90.00
loop_
_atom_site_label
_atom_site_type_symbol
_atom_site_fract_x
_atom_site_fract_y
_atom_site_fract_z
_atom_site_occupancy
Th1 Th 0.000 0.000 0.000 1
B1 B 0.000 0.000 0.500 1
O1 O 0.175 0.175 0.360 1
```

Peak list (6 most intense, 2θ = 10–90°, low angle first)
- 23.41°, I = 100, (1 0 1)
- 25.71°, I = 66, (1 1 0)
- 39.68°, I = 39, (1 1 2)
- 43.98°, I = 56, (2 1 1)
- 47.88°, I = 23, (2 0 2)
- 49.08°, I = 22, (1 0 3)

---

(3)
The following is a theoretical PXRD pattern of LaPr2Cd2. It was derived from a crystal structure in Alexandria, relaxed with PBE, using λ = 1.5418 Å (Cu Kα).
Lines closer than 0.1° are merged.

```
data_LaPr2Cd2
_chemical_formula_sum 'La4 Pr8 Cd8'
_space_group_name_H-M_alt 'C m c 21'
_space_group_IT_number 36
_cell_length_a 5.588
_cell_length_b 16.357
_cell_length_c 6.744
_cell_angle_alpha 90.00
_cell_angle_beta 90.00
_cell_angle_gamma 90.00
loop_
_space_group_symop_operation_xyz
'x,y,z'
'-x,-y,z+1/2'
'-x,y,z'
'x,-y,z+1/2'
'x+1/2,y+1/2,z'
'-x+1/2,-y+1/2,z+1/2'
'-x+1/2,y+1/2,z'
'x+1/2,-y+1/2,z+1/2'
loop_
_atom_site_label
_atom_site_type_symbol
_atom_site_fract_x
_atom_site_fract_y
_atom_site_fract_z
_atom_site_occupancy
La1 La 0.000 0.089 0.000 1
Pr1 Pr 0.000 0.297 0.786 1
Pr2 Pr 0.000 0.476 0.133 1
Cd1 Cd 0.000 0.123 0.501 1
Cd2 Cd 0.000 0.297 0.290 1
```

Peak list (6 most intense, 2θ = 10–90°, low angle first)
- 28.63°, I = 44, (0 2 2)
- 31.46°, I = 55, (1 1 2)
- 31.69°, I = 100, (1 5 0)
- 32.03°, I = 63, (2 0 0)
- 34.46°, I = 43, (0 4 2)
- 35.17°, I = 52, (1 3 2)

---

(4)
The following is a theoretical PXRD pattern of ReSbO6. It was derived from a crystal structure in Alexandria, relaxed with PBE, using λ = 1.5418 Å (Cu Kα).
Lines closer than 0.1° are merged.

```
data_ReSbO6
_chemical_formula_sum 'Re2 Sb2 O12'
_space_group_name_H-M_alt 'P 1 21/m 1'
_space_group_IT_number 11
_cell_length_a 5.216
_cell_length_b 7.378
_cell_length_c 5.384
_cell_angle_alpha 90.00
_cell_angle_beta 90.06
_cell_angle_gamma 90.00
loop_
_space_group_symop_operation_xyz
'x,y,z'
'-x,-y,-z'
'-x,y+1/2,-z'
'x,-y+1/2,z'
loop_
_atom_site_label
_atom_site_type_symbol
_atom_site_fract_x
_atom_site_fract_y
_atom_site_fract_z
_atom_site_occupancy
Re1 Re 0.000 0.000 0.000 1
Sb1 Sb 0.500 0.000 0.500 1
O1 O 0.090 0.250 0.986 1
O2 O 0.193 0.549 0.716 1
O3 O 0.288 0.550 0.196 1
O4 O 0.379 0.250 0.480 1
```

Peak list (6 most intense, 2θ = 10–90°, low angle first)
- 23.75°, I = 100, (1 0 -1)
- 24.12°, I = 48, (0 2 0)
- 34.11°, I = 56, (1 2 1)
- 48.60°, I = 17, (2 0 -2)
- 54.97°, I = 21, (2 2 2)
- 55.53°, I = 28, (1 4 1)

---

(5)
The following is a theoretical PXRD pattern of Sm3NbO7. It was derived from a crystal structure in Alexandria, relaxed with PBE, using λ = 1.5418 Å (Cu Kα).
Lines closer than 0.1° are merged.

```
data_Sm3NbO7
_chemical_formula_sum 'Sm6 Nb2 O14'
_space_group_name_H-M_alt 'P -1'
_space_group_IT_number 2
_cell_length_a 6.508
_cell_length_b 6.638
_cell_length_c 7.755
_cell_angle_alpha 73.24
_cell_angle_beta 89.77
_cell_angle_gamma 82.88
loop_
_space_group_symop_operation_xyz
'x,y,z'
'-x,-y,-z'
loop_
_atom_site_label
_atom_site_type_symbol
_atom_site_fract_x
_atom_site_fract_y
_atom_site_fract_z
_atom_site_occupancy
Sm1 Sm 0.048 0.007 0.250 1
Sm2 Sm 0.238 0.545 0.108 1
Sm3 Sm 0.239 0.536 0.617 1
Nb1 Nb 0.500 0.000 0.000 1
Nb2 Nb 0.500 0.000 0.500 1
O1 O 0.044 0.637 0.841 1
O2 O 0.058 0.650 0.336 1
O3 O 0.210 0.929 0.549 1
O4 O 0.211 0.930 0.985 1
O5 O 0.420 0.034 0.241 1
O6 O 0.422 0.319 0.444 1
O7 O 0.423 0.326 0.899 1
```

Peak list (6 most intense, 2θ = 10–90°, low angle first)
- 28.14°, I = 51, (1 0 2)
- 28.30°, I = 100, (-1 1 2)
- 29.43°, I = 45, (2 1 0)
- 32.76°, I = 20, (2 -1 0)
- 33.24°, I = 47, (1 2 2)
- 46.86°, I = 19, (0 1 4)

---

(6)
The following is a theoretical PXRD pattern of SrNdTe. It was derived from a crystal structure in Alexandria, relaxed with PBE, using λ = 1.5418 Å (Cu Kα).
Lines closer than 0.1° are merged.

```
data_SrNdTe
_chemical_formula_sum 'Sr4 Nd4 Te4'
_space_group_name_H-M_alt 'I m m m'
_space_group_IT_number 71
_space_group_name_Hall '-I 2 2'
_cell_length_a 4.151
_cell_length_b 5.900
_cell_length_c 18.784
_cell_angle_alpha 90.00
_cell_angle_beta 90.00
_cell_angle_gamma 90.00
loop_
_atom_site_label
_atom_site_type_symbol
_atom_site_fract_x
_atom_site_fract_y
_atom_site_fract_z
_atom_site_occupancy
Sr1 Sr 0.000 0.000 0.168 1
Nd1 Nd 0.000 0.247 0.500 1
Te1 Te 0.000 0.000 0.343 1
```

Peak list (6 most intense, 2θ = 10–90°, low angle first)
- 21.93°, I = 91, (1 0 1)
- 26.25°, I = 94, (1 1 0)
- 28.51°, I = 100, (0 0 6)
- 31.80°, I = 71, (0 2 2)
- 35.95°, I = 66, (0 2 4)
- 39.14°, I = 60, (1 1 6)

---

(7)
The following is a theoretical PXRD pattern of TlCl2F. It was derived from a crystal structure in Alexandria, relaxed with PBE, using λ = 1.5418 Å (Cu Kα).
Lines closer than 0.1° are merged.

```
data_TlCl2F
_chemical_formula_sum 'Tl2 Cl4 F2'
_space_group_name_H-M_alt 'I m m m'
_space_group_IT_number 71
_space_group_name_Hall '-I 2 2'
_cell_length_a 3.801
_cell_length_b 4.471
_cell_length_c 12.599
_cell_angle_alpha 90.00
_cell_angle_beta 90.00
_cell_angle_gamma 90.00
loop_
_atom_site_label
_atom_site_type_symbol
_atom_site_fract_x
_atom_site_fract_y
_atom_site_fract_z
_atom_site_occupancy
Tl1 Tl 0.000 0.000 0.000 1
Cl1 Cl 0.000 0.500 0.358 1
F1 F 0.000 0.500 0.000 1
```

Peak list (6 most intense, 2θ = 10–90°, low angle first)
- 14.06°, I = 100, (0 0 2)
- 21.09°, I = 99, (0 1 1)
- 24.46°, I = 40, (1 0 1)
- 31.75°, I = 57, (1 0 3)
- 34.07°, I = 44, (1 1 2)
- 42.40°, I = 38, (1 1 4)

---

(8)
The following is a theoretical PXRD pattern of Pr4HgGeO. It was derived from a crystal structure in Alexandria, relaxed with PBE, using λ = 1.5418 Å (Cu Kα).
Lines closer than 0.1° are merged.

```
data_Pr4HgGeO
_chemical_formula_sum 'Pr16 Hg4 Ge4 O4'
_space_group_name_H-M_alt 'C m c m'
_space_group_IT_number 63
_space_group_name_Hall '-C 2c 2'
_cell_length_a 6.808
_cell_length_b 16.365
_cell_length_c 6.824
_cell_angle_alpha 90.00
_cell_angle_beta 90.00
_cell_angle_gamma 90.00
loop_
_atom_site_label
_atom_site_type_symbol
_atom_site_fract_x
_atom_site_fract_y
_atom_site_fract_z
_atom_site_occupancy
Pr1 Pr 0.000 0.070 0.250 1
Pr2 Pr 0.000 0.424 0.250 1
Pr3 Pr 0.250 0.250 0.000 1
Hg1 Hg 0.000 0.386 0.750 1
Ge1 Ge 0.000 0.115 0.750 1
O1 O 0.000 0.256 0.250 1
```

Peak list (6 most intense, 2θ = 10–90°, low angle first)
- 28.37°, I = 100, (2 2 0)
- 32.84°, I = 34, (0 6 0)
- 33.08°, I = 35, (1 5 1)
- 34.24°, I = 99, (2 4 0)
- 37.31°, I = 79, (2 0 2)
- 50.54°, I = 40, (2 6 2)